(1)
Structure and calculated powder XRD pattern of K2ScTeSe4 (a DFT-relaxed cell (GGA-PBE, Alexandria); Cu Kα).
Lines closer than 0.1° are merged.

a = 11.959 Å, b = 11.964 Å, c = 8.298 Å
α = 90.00°, β = 128.83°, γ = 90.00°
Space group C2/c (No. 15)
One atom of each set of equivalent atoms:
K  0.000  0.000  0.000
K  0.250  0.250  0.000
Sc  0.000  0.500  0.000
Te  0.250  0.250  0.500
Se  0.023  0.272  0.510
Se  0.203  0.486  0.434

The 6 most intense peaks (2θ from 5° to 70°), most intense first:
| Position (°2θ) | I_rel | (hkl) |
| --- | --- | --- |
| 27.60 | 100 | 0 0 2 |
| 30.11 | 87 | 4 0 -2 |
| 29.87 | 87 | 0 4 0 |
| 41.12 | 58 | 0 4 2 |
| 42.93 | 57 | 4 4 -2 |
| 13.02 | 51 | 1 1 -1 |

---

(2)
Structure and calculated powder XRD pattern of Ho2Sc3Tl2 (a DFT-relaxed cell (GGA-PBE, Alexandria); Cu Kα).
Lines closer than 0.1° are merged.

a = 8.965 Å, b = 5.180 Å, c = 8.316 Å
α = 90.00°, β = 111.11°, γ = 90.00°
Space group C2/m (No. 12)
One atom of each set of equivalent atoms:
Ho  0.074  0.000  0.221
Sc  0.000  0.500  0.500
Sc  0.153  0.500  0.959
Tl  0.218  0.000  0.653

The 6 most intense peaks (2θ from 5° to 70°), most intense first:
| Position (°2θ) | I_rel | (hkl) |
| --- | --- | --- |
| 33.55 | 100 | 1 1 2 |
| 34.65 | 97 | 0 2 0 |
| 20.17 | 37 | 2 0 -1 |
| 61.40 | 35 | 4 2 1 |
| 49.00 | 34 | 4 0 1 |
| 59.28 | 18 | 2 0 4 |